[1]
Starting from a structure optimized by DFT (GGA-PBE), the PXRD pattern of RbIn4Pt was calculated for copper Kα.

Crystal structure
a = 8.8213 Å, b = 4.4134 Å, c = 8.5497 Å
α = 90.00°, β = 90.00°, γ = 90.00°
Sites, in units of the cell vectors:
Rb 0.2500 0.0000 0.0931
Rb 0.7500 0.0000 0.9069
In 0.0000 0.0000 0.5000
In 0.0685 0.5000 0.7883
In 0.2500 0.5000 0.4358
In 0.4315 0.5000 0.7883
In 0.5000 0.0000 0.5000
In 0.5685 0.5000 0.2117
In 0.7500 0.5000 0.5642
In 0.9315 0.5000 0.2117
Pt 0.2500 0.0000 0.6761
Pt 0.7500 0.0000 0.3239

Main lines, low angle first (2θ from 10° to 80°):
10.35 deg, d = 8.550 Å, rel. 78
14.43 deg, d = 6.139 Å, rel. 67
30.50 deg, d = 2.931 Å, rel. 48
30.83 deg, d = 2.900 Å, rel. 100
33.03 deg, d = 2.712 Å, rel. 29
35.63 deg, d = 2.520 Å, rel. 89
37.57 deg, d = 2.394 Å, rel. 41
38.26 deg, d = 2.353 Å, rel. 64
40.90 deg, d = 2.206 Å, rel. 69
52.97 deg, d = 1.729 Å, rel. 24
57.83 deg, d = 1.594 Å, rel. 26
69.02 deg, d = 1.361 Å, rel. 19

=====

[2]
Starting from a structure optimized by DFT (GGA-PBE), the PXRD pattern of La8Nd5Tl was calculated for copper Kα.

Crystal structure
a = 8.6990 Å, b = 8.7103 Å, c = 8.9967 Å
α = 116.52°, β = 118.17°, γ = 91.72°
Sites, in units of the cell vectors:
La 0.0000 0.0000 0.0000
La 0.0367 0.4644 0.2068
La 0.1211 0.9223 0.4222
La 0.3661 0.3549 0.0284
La 0.4499 0.8781 0.2784
La 0.6173 0.1802 0.7911
La 0.6651 0.6670 0.0126
La 0.7500 0.1730 0.2632
Nd 0.2504 0.3559 0.5729
Nd 0.3024 0.8369 0.8091
Nd 0.5262 0.6502 0.5663
Nd 0.8293 0.6789 0.4564
Nd 0.9745 0.5453 0.8178
Tl 0.9266 0.1209 0.6641

Main lines, low angle first (2θ from 10° to 80°):
29.72 deg, d = 3.006 Å, rel. 25
30.16 deg, d = 2.963 Å, rel. 68
30.37 deg, d = 2.943 Å, rel. 100
30.73 deg, d = 2.909 Å, rel. 85
31.26 deg, d = 2.861 Å, rel. 59
31.59 deg, d = 2.832 Å, rel. 79
31.75 deg, d = 2.819 Å, rel. 74
32.14 deg, d = 2.785 Å, rel. 17
42.30 deg, d = 2.136 Å, rel. 20
44.86 deg, d = 2.020 Å, rel. 22
45.93 deg, d = 1.976 Å, rel. 22
53.64 deg, d = 1.709 Å, rel. 16

=====

[3]
Starting from a structure optimized by DFT (GGA-PBE), the PXRD pattern of SiAgF6 was calculated for copper Kα.

Crystal structure
a = 5.5745 Å, b = 5.5745 Å, c = 5.5745 Å
α = 60.00°, β = 60.00°, γ = 60.00°
Sites, in units of the cell vectors:
Si 0.0000 0.0000 0.0000
Ag 0.5000 0.5000 0.5000
F 0.2174 0.2174 0.7826
F 0.2174 0.7826 0.2174
F 0.2174 0.7826 0.7826
F 0.7826 0.2174 0.2174
F 0.7826 0.2174 0.7826
F 0.7826 0.7826 0.2174

Main lines, low angle first (2θ from 10° to 80°):
19.50 deg, d = 4.552 Å, rel. 17
22.56 deg, d = 3.942 Å, rel. 100
32.11 deg, d = 2.787 Å, rel. 27
37.85 deg, d = 2.377 Å, rel. 24
46.05 deg, d = 1.971 Å, rel. 24
50.46 deg, d = 1.809 Å, rel. 17
51.87 deg, d = 1.763 Å, rel. 32
57.25 deg, d = 1.609 Å, rel. 8
61.08 deg, d = 1.517 Å, rel. 6
67.17 deg, d = 1.394 Å, rel. 12
71.85 deg, d = 1.314 Å, rel. 14
76.41 deg, d = 1.246 Å, rel. 6